[1]
Structure and simulated X-ray powder pattern of TlHg2PO4 (a cell relaxed with GGA-PBE; Cu Kα, 1.54184 Å).
Neutral-atom scattering factors, no anomalous dispersion.

```
TlHg2PO4
1.0
5.7127 0.0000 0.0000
0.0000 7.0365 0.0000
0.0000 0.0000 7.0680
Tl Hg P O
2 4 2 8
Cartesian
0.0000 0.0000 0.0000
2.8563 3.5183 3.5340
0.0000 2.1323 3.5340
0.0000 4.9042 3.5340
2.8563 1.3860 0.0000
2.8563 5.6506 0.0000
0.0000 3.5183 0.0000
2.8563 0.0000 3.5340
0.9238 2.6264 0.9060
0.9238 4.4101 6.1619
1.9325 0.8918 4.4400
1.9325 6.1447 2.6280
3.7801 0.8918 2.6280
3.7801 6.1447 4.4400
4.7889 2.6264 6.1619
4.7889 4.4101 0.9060
```

Top 8 peaks for 2θ from 10° to 80°, by angle:
17.79 deg, rel. 47
25.20 deg, rel. 62
31.32 deg, rel. 33
32.46 deg, rel. 100
36.24 deg, rel. 25
40.61 deg, rel. 38
41.62 deg, rel. 24
49.24 deg, rel. 59

---

[2]
Structure and simulated X-ray powder pattern of Tl2HgP2O6 (a cell relaxed with GGA-PBE; Cu Kα, 1.54184 Å).
Neutral-atom scattering factors, no anomalous dispersion.

```
Tl2HgP2O6
1.0
2.9621 1.7102 5.9479
-2.9621 1.7102 5.9479
0.0000 -3.4203 5.9479
Tl Hg P O
2 1 2 6
Cartesian
0.0000 0.0000 3.9431
0.0000 0.0000 13.9006
0.0000 0.0000 0.0000
0.0000 0.0000 7.8066
0.0000 0.0000 10.0371
0.0000 -1.4967 7.4116
-1.2961 0.7483 7.4116
-1.2961 -0.7483 10.4321
1.2961 0.7483 7.4116
1.2961 -0.7483 10.4321
0.0000 1.4966 10.4321
```

Top 8 peaks for 2θ from 10° to 80°, by angle:
17.99 deg, rel. 31
26.48 deg, rel. 74
30.17 deg, rel. 100
30.51 deg, rel. 76
40.57 deg, rel. 39
43.44 deg, rel. 27
53.80 deg, rel. 27
55.80 deg, rel. 39

---

[3]
Structure and simulated X-ray powder pattern of TlHg2P2O7 (a cell relaxed with GGA-PBE; Cu Kα, 1.54184 Å).
Neutral-atom scattering factors, no anomalous dispersion.

```
TlHg2P2O7
1.0
2.8618 1.6522 7.9328
-2.8618 1.6522 7.9328
0.0000 -3.3045 7.9328
Tl Hg P O
1 2 2 7
Cartesian
0.0000 0.0000 0.0000
0.0000 0.0000 5.0359
0.0000 0.0000 18.7626
0.0000 0.0000 10.2999
0.0000 0.0000 13.4985
-0.8052 -1.2377 9.8665
-0.6693 -1.3162 13.9319
-0.6693 1.3162 9.8665
0.0000 0.0000 11.8992
-0.8052 1.2377 13.9319
1.4745 -0.0785 9.8665
1.4745 0.0785 13.9319
```

Top 8 peaks for 2θ from 10° to 80°, by angle:
23.36 deg, rel. 60
25.95 deg, rel. 100
31.26 deg, rel. 68
41.06 deg, rel. 24
46.77 deg, rel. 35
52.49 deg, rel. 26
66.75 deg, rel. 20
75.54 deg, rel. 20

---

What did the second record say?
Structure and simulated X-ray powder pattern of Tl2HgP2O6 (a cell relaxed with GGA-PBE; Cu Kα, 1.54184 Å).
Neutral-atom scattering factors, no anomalous dispersion.

```
Tl2HgP2O6
1.0
2.9621 1.7102 5.9479
-2.9621 1.7102 5.9479
0.0000 -3.4203 5.9479
Tl Hg P O
2 1 2 6
Cartesian
0.0000 0.0000 3.9431
0.0000 0.0000 13.9006
0.0000 0.0000 0.0000
0.0000 0.0000 7.8066
0.0000 0.0000 10.0371
0.0000 -1.4967 7.4116
-1.2961 0.7483 7.4116
-1.2961 -0.7483 10.4321
1.2961 0.7483 7.4116
1.2961 -0.7483 10.4321
0.0000 1.4966 10.4321
```

Top 8 peaks for 2θ from 10° to 80°, by angle:
17.99 deg, rel. 31
26.48 deg, rel. 74
30.17 deg, rel. 100
30.51 deg, rel. 76
40.57 deg, rel. 39
43.44 deg, rel. 27
53.80 deg, rel. 27
55.80 deg, rel. 39